1.
Simulated powder XRD pattern
Compound: LiAgAu6
Radiation: Cu Kα (weighted mean of Kα1 and Kα2)
Structure: a PBE-relaxed structure

Largest 6 diffraction maxima, by angle, 2θ from 10° to 90°:
- 35.3°, I = 26
- 37.7°, I = 39
- 40.2°, I = 100
- 40.6°, I = 49
- 69.7°, I = 20
- 76.7°, I = 20

Structure:
Cell: 4.7779 5.8877 10.0492 Å, 90.00 90.00 90.00°
Atoms (fractional coordinates):
Li  0.0000  0.0000  0.0000
Li  0.0000  0.5000  0.5000
Ag  0.0000  0.0000  0.4999
Ag  0.0000  0.5000  0.9999
Au  0.0000  0.2497  0.2506
Au  0.0000  0.2503  0.7506
Au  0.0000  0.7503  0.2506
Au  0.0000  0.7497  0.7506
Au  0.5000  0.0000  0.1643
Au  0.5000  0.0000  0.6662
Au  0.5000  0.2464  0.9188
Au  0.5000  0.2536  0.4188
Au  0.5000  0.5000  0.1662
Au  0.5000  0.5000  0.6643
Au  0.5000  0.7464  0.4188
Au  0.5000  0.7536  0.9188

2.
Simulated powder XRD pattern
Compound: Sr2CaTl2
Radiation: Cu Kα (weighted mean of Kα1 and Kα2)
Structure: a PBE-relaxed structure

Largest 6 diffraction maxima, by angle, 2θ from 10° to 90°:
- 17.4°, I = 44
- 20.2°, I = 63
- 28.0°, I = 51
- 29.4°, I = 59
- 31.2°, I = 100
- 32.1°, I = 57

Structure:
Cell: 4.8661 7.5571 10.2055 Å, 90.00 90.00 90.00°
Atoms (fractional coordinates):
Sr  0.0000  0.0000  0.2001
Sr  0.0000  0.0000  0.7999
Sr  0.5000  0.5000  0.2999
Sr  0.5000  0.5000  0.7001
Ca  0.0000  0.5000  0.0000
Ca  0.5000  0.0000  0.5000
Tl  0.0000  0.2874  0.5000
Tl  0.0000  0.7126  0.5000
Tl  0.5000  0.2126  0.0000
Tl  0.5000  0.7874  0.0000

3.
Simulated powder XRD pattern
Compound: UOsRu3
Radiation: Cu Kα (weighted mean of Kα1 and Kα2)
Structure: a PBE-relaxed structure

Largest 6 diffraction maxima, by angle, 2θ from 10° to 90°:
- 28.2°, I = 56
- 28.9°, I = 49
- 40.0°, I = 82
- 41.2°, I = 87
- 41.6°, I = 80
- 43.0°, I = 100

Structure:
Cell: 6.7686 6.7686 6.7686 Å, 141.12 77.20 116.30°
Atoms (fractional coordinates):
U  0.0000  0.0000  0.0000
U  0.5000  0.0000  0.5000
Os  0.4257  0.6757  0.7500
Os  0.5743  0.3243  0.2500
Ru  0.0156  0.6250  0.3906
Ru  0.2023  0.9523  0.2500
Ru  0.2656  0.3750  0.8906
Ru  0.7344  0.6250  0.1094
Ru  0.7977  0.0477  0.7500
Ru  0.9844  0.3750  0.6094

4.
Simulated powder XRD pattern
Compound: Mg3Rh3Pb
Radiation: Cu Kα (weighted mean of Kα1 and Kα2)
Structure: a PBE-relaxed structure

Largest 6 diffraction maxima, by angle, 2θ from 10° to 90°:
- 20.0°, I = 100
- 34.7°, I = 51
- 40.1°, I = 76
- 40.7°, I = 73
- 58.5°, I = 25
- 73.3°, I = 25

Structure:
Cell: 5.4919 5.4919 5.4919 Å, 109.80 109.80 109.80°
Atoms (fractional coordinates):
Mg  0.0000  0.5000  0.5000
Mg  0.5000  0.0000  0.5000
Mg  0.5000  0.5000  0.0000
Rh  0.0000  0.0000  0.5000
Rh  0.0000  0.5000  0.0000
Rh  0.5000  0.0000  0.0000
Pb  0.0000  0.0000  0.0000

5.
Simulated powder XRD pattern
Compound: NaNpSi2O8
Radiation: Cu Kα (weighted mean of Kα1 and Kα2)
Structure: a PBE-relaxed structure

Largest 6 diffraction maxima, by angle, 2θ from 10° to 90°:
- 18.3°, I = 67
- 19.5°, I = 100
- 26.0°, I = 74
- 32.7°, I = 44
- 34.8°, I = 49
- 51.8°, I = 43

Structure:
Cell: 5.7262 5.7262 5.7262 Å, 106.36 106.36 115.88°
Atoms (fractional coordinates):
Na  0.0000  0.0000  0.0000
Np  0.7500  0.2500  0.5000
Si  0.2500  0.7500  0.5000
Si  0.5000  0.5000  0.0000
O  0.0660  0.3913  0.3253
O  0.0660  0.7407  0.6747
O  0.1457  0.3410  0.8047
O  0.2593  0.9340  0.3253
O  0.5364  0.3410  0.1953
O  0.6087  0.9340  0.6747
O  0.6590  0.4636  0.8047
O  0.6590  0.8543  0.1953

6.
Simulated powder XRD pattern
Compound: NpZn3Pt3
Radiation: Cu Kα (weighted mean of Kα1 and Kα2)
Structure: a PBE-relaxed structure

Largest 6 diffraction maxima, by angle, 2θ from 10° to 90°:
- 26.1°, I = 42
- 29.2°, I = 30
- 32.1°, I = 100
- 50.0°, I = 59
- 53.7°, I = 25
- 88.2°, I = 18

Structure:
Cell: 6.8274 6.8274 6.8274 Å, 90.00 90.00 90.00°
Atoms (fractional coordinates):
Np  0.0000  0.0000  0.0000
Np  0.5000  0.5000  0.5000
Zn  0.0000  0.2500  0.5000
Zn  0.0000  0.7500  0.5000
Zn  0.2500  0.5000  0.0000
Zn  0.5000  0.0000  0.2500
Zn  0.5000  0.0000  0.7500
Zn  0.7500  0.5000  0.0000
Pt  0.0000  0.5000  0.2500
Pt  0.0000  0.5000  0.7500
Pt  0.2500  0.0000  0.5000
Pt  0.5000  0.2500  0.0000
Pt  0.5000  0.7500  0.0000
Pt  0.7500  0.0000  0.5000